# 1
Simulated X-ray diffraction stick pattern of AlSeO10 for Cu Kα (λ = 1.5418 Å), from a crystal structure in the Materials Project, relaxed with PBE.
Kinematic intensities with the Lorentz-polarization factor, no thermal factor.

The 10 most intense peaks (2θ = 10–90°), in order of rising 2θ:
- 15.9 deg, rel. 48, hkl 1 0 -2
- 16.4 deg, rel. 35, hkl 1 1 0
- 18.0 deg, rel. 49, hkl 0 2 1
- 19.9 deg, rel. 75, hkl 0 0 2
- 21.0 deg, rel. 72, hkl 1 2 0
- 21.9 deg, rel. 37, hkl 1 2 -2
- 24.4 deg, rel. 100, hkl 2 1 -2
- 25.0 deg, rel. 48, hkl 0 2 2
- 25.5 deg, rel. 40, hkl 1 3 -1
- 30.4 deg, rel. 38, hkl 2 1 0

Crystal structure
Lattice parameters (Å, degrees): 7.686 11.784 11.299 90.00 127.79 90.00
Space group P2_1/c (No. 14)
One atom of each set of equivalent atoms:
Al1 0.125 0.073 0.123
Se1 0.403 0.708 0.264
O1 0.033 0.236 0.185
O2 0.043 0.023 0.253
O3 0.043 0.172 0.637
O4 0.124 0.568 0.564
O5 0.126 0.038 0.805
O6 0.193 0.633 0.126
O7 0.359 0.149 0.195
O8 0.420 0.661 0.710
O9 0.429 0.706 0.420
O10 0.480 0.046 0.468


# 2
Simulated X-ray diffraction stick pattern of AlSeO10 for Cu Kα (λ = 1.5418 Å), from a crystal structure in the Materials Project, relaxed with PBE.
Kinematic intensities with the Lorentz-polarization factor, no thermal factor.

The 10 most intense peaks (2θ = 10–90°), in order of rising 2θ:
- 16.5 deg, rel. 100, hkl 1 1 0
- 20.1 deg, rel. 58, hkl 0 0 2
- 20.7 deg, rel. 82, hkl 0 2 1
- 22.8 deg, rel. 88, hkl 2 1 -2
- 23.7 deg, rel. 35, hkl 1 1 1
- 29.1 deg, rel. 78, hkl 1 3 -1
- 29.4 deg, rel. 39, hkl 2 1 0
- 29.8 deg, rel. 35, hkl 1 2 -3
- 31.8 deg, rel. 90, hkl 2 1 -4
- 42.4 deg, rel. 34, hkl 3 0 0

Crystal structure
Lattice parameters (Å, degrees): 8.536 9.854 11.773 90.00 131.49 90.00
Space group P2_1/c (No. 14)
One atom of each set of equivalent atoms:
Al1 0.006 0.032 0.142
Se1 0.338 0.653 0.214
O1 0.007 0.083 0.992
O2 0.014 0.589 0.770
O3 0.019 0.184 0.242
O4 0.095 0.673 0.055
O5 0.119 0.193 0.768
O6 0.312 0.539 0.487
O7 0.328 0.005 0.330
O8 0.403 0.634 0.476
O9 0.476 0.707 0.772
O10 0.485 0.080 0.390


# 3
Simulated X-ray diffraction stick pattern of Al10Si2O19 for Cu Kα (λ = 1.5418 Å), from a crystal structure in the Materials Project, relaxed with PBE.
Kinematic intensities with the Lorentz-polarization factor, no thermal factor.

The 10 most intense peaks (2θ = 10–90°), in order of rising 2θ:
- 11.1 deg, rel. 57, hkl 0 0 2
- 12.9 deg, rel. 100, hkl 1 0 -1
- 16.0 deg, rel. 98, hkl 1 0 -2
- 26.0 deg, rel. 54, hkl 2 0 -2
- 26.2 deg, rel. 82, hkl 2 0 2
- 32.4 deg, rel. 62, hkl 2 0 -4
- 34.6 deg, rel. 78, hkl 1 1 2
- 39.8 deg, rel. 51, hkl 1 1 -4
- 40.0 deg, rel. 48, hkl 1 1 4
- 59.8 deg, rel. 48, hkl 3 1 6

Crystal structure
Lattice parameters (Å, degrees): 7.556 2.939 15.975 90.00 90.70 90.00
Space group Pm (No. 6)
One atom of each set of equivalent atoms:
Al1 0.000 0.000 0.000
Al2 0.000 0.000 0.482
Al3 0.091 0.000 0.301
Al4 0.188 0.000 0.735
Al5 0.320 0.500 0.900
Al6 0.365 0.500 0.415
Al7 0.596 0.000 0.019
Al8 0.697 0.000 0.320
Al9 0.844 0.500 0.161
Al10 0.850 0.500 0.646
Si1 0.486 0.000 0.586
Si2 0.690 0.000 0.842
O1 0.189 0.000 0.937
O2 0.207 0.500 0.795
O3 0.217 0.500 0.318
O4 0.229 0.000 0.462
O5 0.335 0.000 0.653
O6 0.478 0.000 0.856
O7 0.478 0.500 0.996
O8 0.486 0.500 0.533
O9 0.512 0.000 0.386
O10 0.684 0.000 0.630
O11 0.698 0.500 0.259
O12 0.715 0.000 0.110
O13 0.741 0.500 0.795
O14 0.785 0.000 0.936
O15 0.909 0.000 0.378
O16 0.936 0.500 0.538
O17 0.974 0.000 0.689
O18 0.976 0.000 0.206
O19 0.988 0.500 0.057


# 4
Simulated X-ray diffraction stick pattern of Al10Si2O19 for Cu Kα (λ = 1.5418 Å), from a crystal structure in the Materials Project, relaxed with PBE.
Kinematic intensities with the Lorentz-polarization factor, no thermal factor.

The 10 most intense peaks (2θ = 10–90°), in order of rising 2θ:
- 13.0 deg, rel. 72, hkl 1 0 -1
- 16.2 deg, rel. 100, hkl 1 0 2
- 16.6 deg, rel. 31, hkl 0 0 3
- 26.3 deg, rel. 49, hkl 2 0 2
- 30.3 deg, rel. 30, hkl 0 1 0
- 32.7 deg, rel. 33, hkl 2 0 -4
- 34.5 deg, rel. 38, hkl 1 1 2
- 38.9 deg, rel. 27, hkl 2 1 0
- 39.8 deg, rel. 37, hkl 1 1 4
- 63.0 deg, rel. 27, hkl 0 2 0

Crystal structure
Lattice parameters (Å, degrees): 7.485 2.950 16.050 90.00 90.19 90.00
Space group Pm (No. 6)
One atom of each set of equivalent atoms:
Al1 0.000 0.000 0.000
Al2 0.022 0.000 0.239
Al3 0.092 0.000 0.550
Al4 0.239 0.500 0.391
Al5 0.264 0.500 0.884
Al6 0.507 0.000 0.528
Al7 0.602 0.000 0.975
Al8 0.734 0.500 0.135
Al9 0.772 0.500 0.653
Al10 0.901 0.000 0.818
Si1 0.399 0.000 0.703
Si2 0.408 0.000 0.233
O1 0.096 0.500 0.493
O2 0.124 0.000 0.341
O3 0.125 0.500 0.982
O4 0.131 0.000 0.840
O5 0.225 0.000 0.180
O6 0.310 0.000 0.608
O7 0.350 0.500 0.748
O8 0.377 0.000 0.439
O9 0.416 0.500 0.289
O10 0.421 0.000 0.903
O11 0.593 0.000 0.179
O12 0.593 0.500 0.034
O13 0.611 0.000 0.687
O14 0.627 0.500 0.550
O15 0.815 0.000 0.922
O16 0.850 0.500 0.764
O17 0.868 0.000 0.090
O18 0.894 0.500 0.227
O19 0.913 0.000 0.621